Structure and simulated PXRD pattern of NaLiFe2Si4O12 (a cell relaxed with PBE+U; copper Kα).

Peak list (10 most intense, 2θ from 10° to 80°, most intense first)
2θ (°)	d/Å	I (rel.)
29.45	3.033	100.0
30.66	2.916	54.8
13.82	6.408	49.4
35.38	2.537	35.5
36.36	2.471	31.0
19.74	4.498	27.8
20.01	4.437	22.0
34.87	2.573	20.3
24.70	3.605	20.2
42.06	2.148	18.9

Structure:
abc: 9.7901 8.8735 5.3631
angles: 90.00 108.88 90.00
Space group C2 (No. 5)
Inequivalent atoms, fractional coordinates:
Na1 0.0000 0.0000 0.0000
Li1 0.0000 0.4522 0.5000
Fe1 0.0000 0.6031 0.0000
Fe2 0.0000 0.8067 0.5000
Si1 0.2062 0.2939 0.9987
Si2 0.2075 0.1154 0.5015
O1 0.1140 0.6201 0.3944
O2 0.1157 0.7848 0.8927
O3 0.1339 0.4590 0.9270
O4 0.1397 0.9480 0.4447
O5 0.1476 0.1994 0.7189
O6 0.1476 0.2080 0.2185